[1]
Simulated powder XRD pattern
Compound: Sm2Cu2Ni5Ge
Radiation: Cu Kα, 1.54184 Å
Structure: a DFT-relaxed cell (PBE, Alexandria)
Peak positions follow from Bragg's law for the DFT cell and can differ from measured ones.

Top 10 peaks for 2θ from 15° to 90°, in order of rising 2θ:
- (2 0 1), 31.6 deg, I 14
- (2 1 1), 33.1 deg, I 30
- (2 2 1), 37.4 deg, I 31
- (3 1 1), 40.0 deg, I 100
- (4 1 0), 40.7 deg, I 58
- (3 3 0), 42.0 deg, I 23
- (3 2 1), 43.7 deg, I 37
- (4 0 1), 47.1 deg, I 11
- (0 0 2), 50.6 deg, I 26
- (4 1 2), 66.9 deg, I 25

Structural model:
Cell: 9.132 9.132 3.609 Å, 90.00 90.00 90.00°
Space group P4/mbm (No. 127)
Unique sites:
Sm  0.179  0.321  0.000 (multiplicity 4)
Cu  0.118  0.618  0.000 (multiplicity 4)
Ni  0.000  0.500  0.500 (multiplicity 2)
Ni  0.057  0.799  0.500 (multiplicity 8)
Ge  0.000  0.000  0.000 (multiplicity 2)

[2]
Simulated powder XRD pattern
Compound: Cs2RbNiH6
Radiation: Cu Kα, 1.54184 Å
Structure: a DFT-relaxed cell (PBE, Alexandria)
Peak positions follow from Bragg's law for the DFT cell and can differ from measured ones.

Top 10 peaks for 2θ from 15° to 90°, in order of rising 2θ:
- (1 0 1), 20.4 deg, I 100
- (1 1 0), 28.1 deg, I 97
- (0 1 2), 29.8 deg, I 78
- (1 1 1), 30.8 deg, I 19
- (0 2 1), 35.0 deg, I 27
- (2 0 2), 41.4 deg, I 32
- (2 1 1), 45.5 deg, I 24
- (1 1 3), 47.6 deg, I 16
- (3 0 0), 49.8 deg, I 19
- (1 2 2), 50.8 deg, I 34

Structural model:
Cell: 6.3468 6.3468 7.1702 Å, 90.00 90.00 120.00°
Space group P-3m1 (No. 164)
Unique sites:
Cs  0.3333  0.6667  0.1400 (multiplicity 2)
Rb  0.0000  0.0000  0.5000 (multiplicity 1)
Ni  0.0000  0.0000  0.0000 (multiplicity 1)
H  0.1134  0.2268  0.8759 (multiplicity 6)

[3]
Simulated powder XRD pattern
Compound: Cu2AgPO6
Radiation: Cu Kα, 1.54184 Å
Structure: a DFT-relaxed cell (PBE, Alexandria)
Peak positions follow from Bragg's law for the DFT cell and can differ from measured ones.

Top 10 peaks for 2θ from 15° to 90°, in order of rising 2θ:
- (2 0 0), 22.4 deg, I 60
- (1 1 1), 23.7 deg, I 47
- (1 3 0), 27.5 deg, I 100
- (1 3 -1), 29.4 deg, I 32
- (1 1 -2), 29.7 deg, I 57
- (0 0 2), 30.8 deg, I 26
- (1 3 1), 33.7 deg, I 58
- (3 1 0), 35.0 deg, I 50
- (4 2 -1), 45.7 deg, I 24
- (2 2 -3), 47.0 deg, I 30

Structural model:
Cell: 8.566 10.658 6.270 Å, 90.00 112.34 90.00°
Space group C2/c (No. 15)
Unique sites:
Cu  0.128  0.077  0.151 (multiplicity 8)
Ag  0.000  0.369  0.250 (multiplicity 4)
P  0.000  0.332  0.750 (multiplicity 4)
O  0.072  0.256  0.975 (multiplicity 8)
O  0.107  0.060  0.438 (multiplicity 8)
O  0.135  0.426  0.724 (multiplicity 8)

[4]
Simulated powder XRD pattern
Compound: Tb3ScSn3
Radiation: Cu Kα, 1.54184 Å
Structure: a DFT-relaxed cell (PBE, Alexandria)
Peak positions follow from Bragg's law for the DFT cell and can differ from measured ones.

Top 10 peaks for 2θ from 15° to 90°, in order of rising 2θ:
- (1 1 0), 19.1 deg, I 79
- (0 0 2), 29.1 deg, I 57
- (2 1 0), 29.3 deg, I 18
- (3 0 0), 33.4 deg, I 100
- (1 1 2), 35.0 deg, I 35
- (2 1 2), 41.8 deg, I 14
- (3 0 2), 44.8 deg, I 89
- (3 3 0), 59.6 deg, I 13
- (3 3 2), 67.7 deg, I 18
- (3 0 4), 70.6 deg, I 23

Structural model:
Cell: 9.3037 9.3037 6.1462 Å, 90.00 90.00 120.00°
Space group P6_3/m (No. 176)
Unique sites:
Tb  0.0360  0.6908  0.2500 (multiplicity 6)
Sc  0.3333  0.6667  0.7500 (multiplicity 2)
Sn  0.0261  0.6751  0.7500 (multiplicity 6)

[5]
Simulated powder XRD pattern
Compound: Tl7Hg5Bi
Radiation: Cu Kα, 1.54184 Å
Structure: a DFT-relaxed cell (PBE, Alexandria)
Peak positions follow from Bragg's law for the DFT cell and can differ from measured ones.

Top 10 peaks for 2θ from 15° to 90°, in order of rising 2θ:
- (1 3 0), 27.7 deg, I 39
- (0 0 4), 30.9 deg, I 39
- (0 4 0), 31.3 deg, I 39
- (1 2 3), 31.7 deg, I 53
- (1 3 2), 31.8 deg, I 84
- (2 2 0), 33.4 deg, I 100
- (0 2 4), 34.8 deg, I 42
- (0 4 2), 35.1 deg, I 46
- (1 1 4), 35.3 deg, I 42
- (2 2 2), 37.0 deg, I 99

Structural model:
Cell: 6.068 11.415 11.563 Å, 90.00 90.00 90.00°
Space group Imm2 (No. 44)
Unique sites:
Tl  0.000  0.000  0.000 (multiplicity 2)
Tl  0.000  0.000  0.399 (multiplicity 2)
Tl  0.000  0.307  0.835 (multiplicity 4)
Tl  0.000  0.351  0.341 (multiplicity 4)
Tl  0.000  0.500  0.062 (multiplicity 2)
Hg  0.000  0.500  0.632 (multiplicity 2)
Hg  0.248  0.252  0.587 (multiplicity 8)
Bi  0.000  0.000  0.713 (multiplicity 2)

[6]
Simulated powder XRD pattern
Compound: Sr8Mg3Hg2
Radiation: Cu Kα, 1.54184 Å
Structure: a DFT-relaxed cell (PBE, Alexandria)
Peak positions follow from Bragg's law for the DFT cell and can differ from measured ones.

Top 10 peaks for 2θ from 15° to 90°, in order of rising 2θ:
- (0 2 1), 17.5 deg, I 21
- (2 0 0), 18.6 deg, I 18
- (2 2 0), 21.0 deg, I 37
- (2 4 0), 27.1 deg, I 22
- (0 0 2), 29.2 deg, I 49
- (1 5 1), 30.1 deg, I 63
- (2 4 1), 30.9 deg, I 100
- (2 2 2), 36.2 deg, I 19
- (2 4 3), 52.8 deg, I 20
- (5 5 1), 56.5 deg, I 19

Structural model:
Cell: 9.545 18.153 6.122 Å, 90.00 90.00 90.00°
Space group Cmmm (No. 65)
Unique sites:
Sr  0.000  0.105  0.000 (multiplicity 4)
Sr  0.000  0.312  0.000 (multiplicity 4)
Sr  0.219  0.380  0.500 (multiplicity 8)
Mg  0.000  0.000  0.500 (multiplicity 2)
Mg  0.167  0.500  0.000 (multiplicity 4)
Hg  0.000  0.228  0.500 (multiplicity 4)

[7]
Simulated powder XRD pattern
Compound: Cu2AgO4
Radiation: Cu Kα, 1.54184 Å
Structure: a DFT-relaxed cell (PBE, Alexandria)
Peak positions follow from Bragg's law for the DFT cell and can differ from measured ones.

Top 10 peaks for 2θ from 15° to 90°, in order of rising 2θ:
- (0 1 0), 20.7 deg, I 63
- (1 0 0), 21.7 deg, I 55
- (0 1 1), 26.2 deg, I 33
- (1 0 1), 27.2 deg, I 59
- (1 1 1), 32.0 deg, I 97
- (1 1 -1), 33.4 deg, I 100
- (0 0 2), 33.6 deg, I 47
- (-1 1 1), 36.4 deg, I 63
- (1 -1 1), 36.7 deg, I 64
- (2 0 2), 56.1 deg, I 54

Structural model:
Cell: 4.131 4.335 5.335 Å, 87.57 88.37 81.92°
Space group P-1 (No. 2)
Unique sites:
Cu  0.000  0.000  0.000 (multiplicity 1)
Cu  0.500  0.500  0.000 (multiplicity 1)
Ag  0.000  0.500  0.500 (multiplicity 1)
O  0.228  0.733  0.772 (multiplicity 2)
O  0.257  0.750  0.230 (multiplicity 2)

[8]
Simulated powder XRD pattern
Compound: Sm2Er9Mg
Radiation: Cu Kα, 1.54184 Å
Structure: a DFT-relaxed cell (PBE, Alexandria)
Peak positions follow from Bragg's law for the DFT cell and can differ from measured ones.

Top 10 peaks for 2θ from 15° to 90°, in order of rising 2θ:
- (1 1 3), 31.2 deg, I 100
- (2 0 0), 36.2 deg, I 50
- (2 2 0), 52.1 deg, I 36
- (1 1 9), 61.9 deg, I 14
- (3 1 3), 62.1 deg, I 28
- (2 2 6), 65.1 deg, I 12
- (3 1 9), 85.2 deg, I 12
- (3 3 3), 85.3 deg, I 6
- (2 0 12), 87.9 deg, I 5
- (4 2 0), 88.1 deg, I 11

Structural model:
Cell: 4.958 4.958 14.913 Å, 90.00 90.00 90.00°
Space group P4/mmm (No. 123)
Unique sites:
Sm  0.000  0.000  0.168 (multiplicity 2)
Er  0.000  0.500  0.000 (multiplicity 2)
Er  0.000  0.500  0.337 (multiplicity 4)
Er  0.500  0.500  0.172 (multiplicity 2)
Er  0.500  0.500  0.500 (multiplicity 1)
Mg  0.000  0.000  0.500 (multiplicity 1)

[9]
Simulated powder XRD pattern
Compound: AcMnCuPt2
Radiation: Cu Kα, 1.54184 Å
Structure: a DFT-relaxed cell (PBE, Alexandria)
Peak positions follow from Bragg's law for the DFT cell and can differ from measured ones.

Top 10 peaks for 2θ from 15° to 90°, in order of rising 2θ:
- (1 3 1), 30.3 deg, I 93
- (2 0 0), 31.5 deg, I 85
- (0 2 2), 34.4 deg, I 64
- (1 5 1), 41.2 deg, I 100
- (2 0 2), 45.1 deg, I 34
- (2 2 2), 47.4 deg, I 19
- (3 3 1), 55.3 deg, I 32
- (3 5 1), 62.8 deg, I 52
- (4 0 0), 65.8 deg, I 17
- (0 10 2), 81.1 deg, I 16

Structural model:
Cell: 5.680 13.050 5.683 Å, 90.00 90.00 90.00°
Space group Cmme (No. 67)
Unique sites:
Ac  0.000  0.250  0.235 (multiplicity 4)
Mn  0.250  0.000  0.500 (multiplicity 4)
Cu  0.000  0.000  0.000 (multiplicity 4)
Pt  0.000  0.144  0.716 (multiplicity 8)

[10]
Simulated powder XRD pattern
Compound: Pr2NdDy
Radiation: Cu Kα, 1.54184 Å
Structure: a DFT-relaxed cell (PBE, Alexandria)
Peak positions follow from Bragg's law for the DFT cell and can differ from measured ones.

Top 10 peaks for 2θ from 15° to 90°, in order of rising 2θ:
- (0 1 2), 28.5 deg, I 32
- (0 0 12), 30.0 deg, I 49
- (0 1 5), 30.8 deg, I 100
- (1 0 7), 33.2 deg, I 76
- (1 0 10), 37.8 deg, I 19
- (1 1 0), 49.7 deg, I 36
- (0 1 17), 52.1 deg, I 25
- (1 1 12), 59.1 deg, I 44
- (2 0 5), 59.6 deg, I 15
- (1 1 24), 83.5 deg, I 16

Structural model:
Cell: 3.6721 3.6721 35.7853 Å, 90.00 90.00 120.00°
Space group R3m (No. 160, hexagonal axes)
Unique sites:
Pr  0.0000  0.0000  0.0000 (multiplicity 3)
Pr  0.0000  0.0000  0.1697 (multiplicity 3)
Nd  0.0000  0.0000  0.7519 (multiplicity 3)
Dy  0.0000  0.0000  0.5845 (multiplicity 3)

[11]
Simulated powder XRD pattern
Compound: PmTi2Fe9
Radiation: Cu Kα, 1.54184 Å
Structure: a DFT-relaxed cell (PBE, Alexandria)
Peak positions follow from Bragg's law for the DFT cell and can differ from measured ones.

Top 10 peaks for 2θ from 15° to 90°, in order of rising 2θ:
- (1 0 4), 25.8 deg, I 15
- (1 0 7), 34.0 deg, I 18
- (1 1 0), 36.6 deg, I 29
- (0 1 8), 37.1 deg, I 17
- (0 2 1), 42.7 deg, I 31
- (2 0 2), 43.2 deg, I 16
- (1 1 6), 43.4 deg, I 100
- (0 0 12), 46.2 deg, I 23
- (0 3 6), 70.6 deg, I 21
- (2 2 0), 77.7 deg, I 18

Structural model:
Cell: 4.9155 4.9155 23.5579 Å, 90.00 90.00 120.00°
Space group R-3m (No. 166, hexagonal axes)
Unique sites:
Pm  0.0000  0.0000  0.0000 (multiplicity 3)
Ti  0.0000  0.0000  0.1455 (multiplicity 6)
Fe  0.0000  0.0000  0.3331 (multiplicity 6)
Fe  0.0000  0.0000  0.5000 (multiplicity 3)
Fe  0.0038  0.5019  0.9127 (multiplicity 18)

[12]
Simulated powder XRD pattern
Compound: Na2Hf3Te6
Radiation: Cu Kα, 1.54184 Å
Structure: a DFT-relaxed cell (PBE, Alexandria)
Peak positions follow from Bragg's law for the DFT cell and can differ from measured ones.

Top 10 peaks for 2θ from 15° to 90°, in order of rising 2θ:
- (1 3 0), 25.8 deg, I 16
- (1 3 1), 29.7 deg, I 100
- (2 0 -3), 37.0 deg, I 20
- (2 0 2), 39.9 deg, I 41
- (0 6 0), 45.0 deg, I 33
- (3 3 -2), 46.5 deg, I 13
- (1 3 -4), 49.7 deg, I 12
- (2 6 -2), 54.8 deg, I 12
- (2 6 2), 61.7 deg, I 11
- (4 6 0), 73.5 deg, I 15

Structural model:
Cell: 6.979 12.092 8.251 Å, 90.00 106.48 90.00°
Space group C2/m (No. 12)
Unique sites:
Na  0.000  0.166  0.000 (multiplicity 4)
Hf  0.000  0.000  0.500 (multiplicity 2)
Hf  0.000  0.331  0.500 (multiplicity 4)
Te  0.237  0.500  0.720 (multiplicity 4)
Te  0.243  0.165  0.722 (multiplicity 8)